Entry 1:
Starting from the PBE geometry in the Materials Project, the X-ray diffraction stick pattern of BaTlP3O9 was computed for Cu Kα, 1.54184 Å.
Neutral-atom scattering factors, no anomalous dispersion.

Structure:
```
data_BaTlP3O9
_space_group_name_H-M_alt 'P 21 21 21'
_space_group_IT_number 19
_cell_length_a 6.3058
_cell_length_b 11.3747
_cell_length_c 13.0762
_cell_angle_alpha 90.00
_cell_angle_beta 90.00
_cell_angle_gamma 90.00
loop_
_space_group_symop_operation_xyz
'x,y,z'
'-x+1/2,-y,z+1/2'
'x+1/2,-y+1/2,-z'
'-x,y+1/2,-z+1/2'
loop_
_atom_site_label
_atom_site_type_symbol
_atom_site_fract_x
_atom_site_fract_y
_atom_site_fract_z
Ba1 Ba 0.0957 0.1070 0.4205
Tl1 Tl 0.1000 0.4884 0.3665
P1 P 0.0833 0.2163 0.6844
P2 P 0.0973 0.5871 0.6370
P3 P 0.1076 0.8432 0.6478
O1 O 0.0295 0.0075 0.9310
O2 O 0.0385 0.9361 0.5740
O3 O 0.0449 0.1042 0.7594
O4 O 0.0843 0.3228 0.7676
O5 O 0.0950 0.7177 0.5876
O6 O 0.0996 0.7245 0.8900
O7 O 0.1796 0.4489 0.1628
O8 O 0.1888 0.1452 0.2065
O9 O 0.2004 0.7905 0.1365
```

The 8 most intense peaks (2θ from 10° to 90°), in order of rising 2θ:
2θ = 15.60°, rel. 1000; 2θ = 21.06°, rel. 542; 2θ = 22.12°, rel. 931; 2θ = 25.10°, rel. 515; 2θ = 26.06°, rel. 505; 2θ = 27.25°, rel. 756; 2θ = 28.30°, rel. 777; 2θ = 29.13°, rel. 570

Entry 2:
Starting from the PBE geometry in the Materials Project, the X-ray diffraction stick pattern of Ba3U2P4O20 was computed for Cu Kα, 1.54184 Å.
Neutral-atom scattering factors, no anomalous dispersion.

Structure:
```
data_Ba3U2P4O20
_space_group_name_H-M_alt 'P 1 21/c 1'
_space_group_IT_number 14
_cell_length_a 9.6351
_cell_length_b 8.9039
_cell_length_c 10.7303
_cell_angle_alpha 90.00
_cell_angle_beta 97.43
_cell_angle_gamma 90.00
loop_
_space_group_symop_operation_xyz
'x,y,z'
'-x,-y,-z'
'-x,y+1/2,-z+1/2'
'x,-y+1/2,z+1/2'
loop_
_atom_site_label
_atom_site_type_symbol
_atom_site_fract_x
_atom_site_fract_y
_atom_site_fract_z
Ba1 Ba 0.0000 0.0000 0.0000
Ba2 Ba 0.3071 0.1707 0.4163
U1 U 0.3395 0.7168 0.3127
P1 P 0.0217 0.1651 0.6643
P2 P 0.3697 0.5346 0.6166
O1 O 0.0253 0.5012 0.8694
O2 O 0.0840 0.1557 0.8039
O3 O 0.1101 0.7308 0.3520
O4 O 0.1267 0.2297 0.5831
O5 O 0.2422 0.5627 0.6895
O6 O 0.2915 0.5763 0.1929
O7 O 0.3211 0.5356 0.4729
O8 O 0.4002 0.6356 0.9289
O9 O 0.4320 0.1234 0.1514
O10 O 0.4730 0.6631 0.6607
```

The 8 most intense peaks (2θ from 10° to 90°), in order of rising 2θ:
2θ = 20.13°, rel. 675; 2θ = 20.60°, rel. 541; 2θ = 22.49°, rel. 384; 2θ = 24.01°, rel. 475; 2θ = 27.55°, rel. 372; 2θ = 28.00°, rel. 1000; 2θ = 28.49°, rel. 400; 2θ = 35.25°, rel. 538

Entry 3:
Starting from the PBE geometry in the Materials Project, the X-ray diffraction stick pattern of BaZn2P2O8 was computed for Cu Kα, 1.54184 Å.
Neutral-atom scattering factors, no anomalous dispersion.

Structure:
```
data_BaZn2P2O8
_space_group_name_H-M_alt 'P 1 21/c 1'
_space_group_IT_number 14
_cell_length_a 8.7071
_cell_length_b 9.9073
_cell_length_c 9.2852
_cell_angle_alpha 90.00
_cell_angle_beta 91.49
_cell_angle_gamma 90.00
loop_
_space_group_symop_operation_xyz
'x,y,z'
'-x,-y,-z'
'-x,y+1/2,-z+1/2'
'x,-y+1/2,z+1/2'
loop_
_atom_site_label
_atom_site_type_symbol
_atom_site_fract_x
_atom_site_fract_y
_atom_site_fract_z
Ba1 Ba 0.2467 0.0831 0.1047
Zn1 Zn 0.0841 0.6815 0.0593
Zn2 Zn 0.4261 0.0751 0.7083
P1 P 0.0584 0.0888 0.7416
P2 P 0.4522 0.7037 0.0737
O1 O 0.0056 0.0508 0.3065
O2 O 0.0446 0.6328 0.6313
O3 O 0.0539 0.1910 0.6155
O4 O 0.2256 0.0802 0.8046
O5 O 0.2965 0.6548 0.0109
O6 O 0.4243 0.1971 0.5448
O7 O 0.4441 0.6469 0.6264
O8 O 0.4931 0.1099 0.2993
```

The 8 most intense peaks (2θ from 10° to 90°), in order of rising 2θ:
2θ = 21.46°, rel. 1000; 2θ = 21.94°, rel. 466; 2θ = 22.88°, rel. 650; 2θ = 24.52°, rel. 608; 2θ = 28.74°, rel. 628; 2θ = 28.92°, rel. 724; 2θ = 33.26°, rel. 440; 2θ = 34.17°, rel. 480

Entry 4:
Starting from the PBE geometry in the Materials Project, the X-ray diffraction stick pattern of Ba2Zn3P2O2 was computed for Cu Kα, 1.54184 Å.
Neutral-atom scattering factors, no anomalous dispersion.

Structure:
```
data_Ba2Zn3P2O2
_space_group_name_H-M_alt 'I 4/m m m'
_space_group_IT_number 139
_space_group_name_Hall '-I 4 2'
_cell_length_a 4.1613
_cell_length_b 4.1613
_cell_length_c 19.7660
_cell_angle_alpha 90.00
_cell_angle_beta 90.00
_cell_angle_gamma 90.00
loop_
_atom_site_label
_atom_site_type_symbol
_atom_site_fract_x
_atom_site_fract_y
_atom_site_fract_z
Ba1 Ba 0.0000 0.0000 0.0920
Zn1 Zn 0.0000 0.0000 0.5000
Zn2 Zn 0.0000 0.5000 0.2500
P1 P 0.0000 0.0000 0.3213
O1 O 0.0000 0.5000 0.0000
```

The 8 most intense peaks (2θ from 10° to 90°), in order of rising 2θ:
2θ = 21.83°, rel. 250; 2θ = 31.21°, rel. 1000; 2θ = 31.73°, rel. 418; 2θ = 35.51°, rel. 439; 2θ = 38.53°, rel. 218; 2θ = 43.50°, rel. 454; 2θ = 54.50°, rel. 397; 2θ = 56.05°, rel. 242